No. 1
# CdBiH6Ir
Theoretical powder diffraction line list, Cu Kα X-rays. Input: a cell relaxed with PBE.
Peak positions follow from Bragg's law for the DFT cell and can differ from measured ones.

Structure:
```
data_CdBiH6Ir
_cell_length_a 4.759
_cell_length_b 5.109
_cell_length_c 5.239
_cell_angle_alpha 79.67
_cell_angle_beta 87.52
_cell_angle_gamma 66.10
_space_group_name_H-M_alt 'P 1'
_space_group_IT_number 1
loop_
_space_group_symop_operation_xyz
'x,y,z'
loop_
_atom_site_label
_atom_site_type_symbol
_atom_site_fract_x
_atom_site_fract_y
_atom_site_fract_z
Cd1 Cd 0.000 0.000 0.000
Bi1 Bi 0.212 0.466 0.368
H1 H 0.420 0.838 0.754
H2 H 0.439 0.392 0.848
H3 H 0.541 0.708 0.384
H4 H 0.820 0.483 0.972
H5 H 0.838 0.753 0.627
H6 H 0.841 0.200 0.583
Ir1 Ir 0.667 0.525 0.679
```

Principal peaks in the range 10 to 80 degrees two-theta, low angle first:
2theta	I (rel.)
19.31	75
23.55	46
26.04	100
26.39	100
28.22	62
37.96	43

No. 2
# Ac3RuPbBr
Theoretical powder diffraction line list, Cu Kα X-rays. Input: a cell relaxed with PBE.
Peak positions follow from Bragg's law for the DFT cell and can differ from measured ones.

Structure:
```
data_Ac3RuPbBr
_cell_length_a 8.517
_cell_length_b 4.824
_cell_length_c 10.500
_cell_angle_alpha 90.00
_cell_angle_beta 110.92
_cell_angle_gamma 90.00
_space_group_name_H-M_alt 'P 1 21/m 1'
_space_group_IT_number 11
loop_
_space_group_symop_operation_xyz
'x,y,z'
'-x,-y,-z'
'-x,y+1/2,-z'
'x,-y+1/2,z'
loop_
_atom_site_label
_atom_site_type_symbol
_atom_site_fract_x
_atom_site_fract_y
_atom_site_fract_z
Ac1 Ac 0.038 0.250 0.366
Ac2 Ac 0.199 0.250 0.970
Ac3 Ac 0.410 0.750 0.604
Ru1 Ru 0.224 0.250 0.637
Pb1 Pb 0.245 0.750 0.230
Br1 Br 0.380 0.750 0.892
```

Principal peaks in the range 10 to 80 degrees two-theta, low angle first:
2theta	I (rel.)
25.51	88
27.97	100
29.10	80
31.63	77
33.12	83
37.28	91

No. 3
# Ca3AcCd4
Theoretical powder diffraction line list, Cu Kα X-rays. Input: a cell relaxed with PBE.
Peak positions follow from Bragg's law for the DFT cell and can differ from measured ones.

Structure:
```
data_Ca3AcCd4
_cell_length_a 11.189
_cell_length_b 7.647
_cell_length_c 5.592
_cell_angle_alpha 90.00
_cell_angle_beta 90.00
_cell_angle_gamma 90.00
_space_group_name_H-M_alt 'P m m a'
_space_group_IT_number 51
loop_
_space_group_symop_operation_xyz
'x,y,z'
'-x,-y,-z'
'-x+1/2,-y,z'
'x+1/2,y,-z'
'x+1/2,-y,-z'
'-x+1/2,y,z'
'-x,y,-z'
'x,-y,z'
loop_
_atom_site_label
_atom_site_type_symbol
_atom_site_fract_x
_atom_site_fract_y
_atom_site_fract_z
Ca1 Ca 0.000 0.000 0.000
Ca2 Ca 0.250 0.000 0.498
Ca3 Ca 0.250 0.500 0.499
Ac1 Ac 0.000 0.500 0.000
Cd1 Cd 0.000 0.238 0.500
Cd2 Cd 0.250 0.238 0.998
```

Principal peaks in the range 10 to 80 degrees two-theta, low angle first:
2theta	I (rel.)
19.67	16
32.00	53
32.57	100
45.89	19
57.40	38
58.48	17

No. 4
# La2TbPr5Sm
Theoretical powder diffraction line list, Cu Kα X-rays. Input: a cell relaxed with PBE.
Peak positions follow from Bragg's law for the DFT cell and can differ from measured ones.

Structure:
```
data_La2TbPr5Sm
_cell_length_a 8.800
_cell_length_b 8.800
_cell_length_c 16.686
_cell_angle_alpha 90.00
_cell_angle_beta 90.00
_cell_angle_gamma 90.00
_space_group_name_H-M_alt 'I 4/m c m'
_space_group_IT_number 140
_space_group_name_Hall '-I 4 2c'
loop_
_atom_site_label
_atom_site_type_symbol
_atom_site_fract_x
_atom_site_fract_y
_atom_site_fract_z
La1 La 0.120 0.380 0.000
Tb1 Tb 0.000 0.500 0.250
Pr1 Pr 0.000 0.000 0.000
Pr2 Pr 0.218 0.282 0.357
Sm1 Sm 0.000 0.000 0.250
```

Principal peaks in the range 10 to 80 degrees two-theta, low angle first:
2theta	I (rel.)
27.77	39
28.69	54
29.51	100
32.17	15
38.29	13
51.34	29

No. 5
# Cd6InPb2
Theoretical powder diffraction line list, Cu Kα X-rays. Input: a cell relaxed with PBE.
Peak positions follow from Bragg's law for the DFT cell and can differ from measured ones.

Structure:
```
data_Cd6InPb2
_cell_length_a 15.314
_cell_length_b 8.857
_cell_length_c 3.482
_cell_angle_alpha 90.00
_cell_angle_beta 90.02
_cell_angle_gamma 90.00
_space_group_name_H-M_alt 'C 1 2/m 1'
_space_group_IT_number 12
loop_
_space_group_symop_operation_xyz
'x,y,z'
'-x,-y,-z'
'-x,y,-z'
'x,-y,z'
'x+1/2,y+1/2,z'
'-x+1/2,-y+1/2,-z'
'-x+1/2,y+1/2,-z'
'x+1/2,-y+1/2,z'
loop_
_atom_site_label
_atom_site_type_symbol
_atom_site_fract_x
_atom_site_fract_y
_atom_site_fract_z
Cd1 Cd 0.000 0.168 0.000
Cd2 Cd 0.166 0.335 0.998
In1 In 0.000 0.500 0.500
Pb1 Pb 0.167 0.000 0.500
```

Principal peaks in the range 10 to 80 degrees two-theta, low angle first:
2theta	I (rel.)
32.73	100
35.13	81
48.77	33
61.52	32
63.03	14
64.81	26

No. 6
# Ac8Ir3I4N
Theoretical powder diffraction line list, Cu Kα X-rays. Input: a cell relaxed with PBE.
Peak positions follow from Bragg's law for the DFT cell and can differ from measured ones.

Structure:
```
data_Ac8Ir3I4N
_cell_length_a 14.960
_cell_length_b 8.625
_cell_length_c 9.958
_cell_angle_alpha 90.00
_cell_angle_beta 120.05
_cell_angle_gamma 90.00
_space_group_name_H-M_alt 'C 1 2/m 1'
_space_group_IT_number 12
loop_
_space_group_symop_operation_xyz
'x,y,z'
'-x,-y,-z'
'-x,y,-z'
'x,-y,z'
'x+1/2,y+1/2,z'
'-x+1/2,-y+1/2,-z'
'-x+1/2,y+1/2,-z'
'x+1/2,-y+1/2,z'
loop_
_atom_site_label
_atom_site_type_symbol
_atom_site_fract_x
_atom_site_fract_y
_atom_site_fract_z
Ac1 Ac 0.020 0.239 0.322
Ac2 Ac 0.220 0.000 0.679
Ac3 Ac 0.229 0.500 0.686
Ir1 Ir 0.000 0.500 0.500
Ir2 Ir 0.250 0.250 0.500
I1 I 0.000 0.000 0.000
I2 I 0.000 0.500 0.000
I3 I 0.250 0.250 0.000
N1 N 0.000 0.000 0.500
```

Principal peaks in the range 10 to 80 degrees two-theta, low angle first:
2theta	I (rel.)
10.26	32
27.57	100
34.12	22
36.76	23
41.87	42
50.86	19

No. 7
# CaH2CClO3
Theoretical powder diffraction line list, Cu Kα X-rays. Input: a cell relaxed with PBE.
Peak positions follow from Bragg's law for the DFT cell and can differ from measured ones.

Structure:
```
data_CaH2CClO3
_cell_length_a 9.868
_cell_length_b 7.410
_cell_length_c 7.110
_cell_angle_alpha 90.00
_cell_angle_beta 130.68
_cell_angle_gamma 90.00
_space_group_name_H-M_alt 'C 1 2/m 1'
_space_group_IT_number 12
loop_
_space_group_symop_operation_xyz
'x,y,z'
'-x,-y,-z'
'-x,y,-z'
'x,-y,z'
'x+1/2,y+1/2,z'
'-x+1/2,-y+1/2,-z'
'-x+1/2,y+1/2,-z'
'x+1/2,-y+1/2,z'
loop_
_atom_site_label
_atom_site_type_symbol
_atom_site_fract_x
_atom_site_fract_y
_atom_site_fract_z
Ca1 Ca 0.134 0.000 0.383
H1 H 0.093 0.275 0.034
C1 C 0.000 0.395 0.500
Cl1 Cl 0.235 0.000 0.867
O1 O 0.000 0.191 0.000
O2 O 0.112 0.318 0.493
```

Principal peaks in the range 10 to 80 degrees two-theta, low angle first:
2theta	I (rel.)
16.44	39
29.49	100
30.50	70
34.05	32
35.06	35
38.60	31

No. 8
# K2SnBiO4
Theoretical powder diffraction line list, Cu Kα X-rays. Input: a cell relaxed with PBE.
Peak positions follow from Bragg's law for the DFT cell and can differ from measured ones.

Structure:
```
data_K2SnBiO4
_cell_length_a 8.654
_cell_length_b 6.599
_cell_length_c 5.845
_cell_angle_alpha 90.00
_cell_angle_beta 90.00
_cell_angle_gamma 90.00
_space_group_name_H-M_alt 'P m n 21'
_space_group_IT_number 31
loop_
_space_group_symop_operation_xyz
'x,y,z'
'-x+1/2,-y,z+1/2'
'-x,y,z'
'x+1/2,-y,z+1/2'
loop_
_atom_site_label
_atom_site_type_symbol
_atom_site_fract_x
_atom_site_fract_y
_atom_site_fract_z
K1 K 0.249 0.199 0.000
Sn1 Sn 0.000 0.309 0.511
Bi1 Bi 0.000 0.692 0.010
O1 O 0.000 0.400 0.854
O2 O 0.000 0.595 0.359
O3 O 0.239 0.229 0.487
```

Principal peaks in the range 10 to 80 degrees two-theta, low angle first:
2theta	I (rel.)
20.29	63
20.53	29
27.02	28
29.02	100
30.59	35
53.41	22

No. 9
# Ac2La3Er4
Theoretical powder diffraction line list, Cu Kα X-rays. Input: a cell relaxed with PBE.
Peak positions follow from Bragg's law for the DFT cell and can differ from measured ones.

Structure:
```
data_Ac2La3Er4
_cell_length_a 3.593
_cell_length_b 10.058
_cell_length_c 18.095
_cell_angle_alpha 90.00
_cell_angle_beta 90.00
_cell_angle_gamma 90.00
_space_group_name_H-M_alt 'I m m m'
_space_group_IT_number 71
_space_group_name_Hall '-I 2 2'
loop_
_atom_site_label
_atom_site_type_symbol
_atom_site_fract_x
_atom_site_fract_y
_atom_site_fract_z
Ac1 Ac 0.000 0.177 0.000
La1 La 0.000 0.000 0.500
La2 La 0.000 0.500 0.337
Er1 Er 0.000 0.325 0.172
```

Principal peaks in the range 10 to 80 degrees two-theta, low angle first:
2theta	I (rel.)
28.15	43
29.62	54
30.51	100
30.98	46
53.13	34
60.44	29

No. 10
# K6CdAu4
Theoretical powder diffraction line list, Cu Kα X-rays. Input: a cell relaxed with PBE.
Peak positions follow from Bragg's law for the DFT cell and can differ from measured ones.

Structure:
```
data_K6CdAu4
_cell_length_a 10.9723
_cell_length_b 10.9723
_cell_length_c 7.9763
_cell_angle_alpha 90.00
_cell_angle_beta 90.00
_cell_angle_gamma 120.00
_space_group_name_H-M_alt 'P 63 m c'
_space_group_IT_number 186
_space_group_name_Hall 'P 6c -2c'
loop_
_atom_site_label
_atom_site_type_symbol
_atom_site_fract_x
_atom_site_fract_y
_atom_site_fract_z
K1 K 0.0547 0.5274 0.0000
K2 K 0.1384 0.2768 0.3272
Cd1 Cd 0.3333 0.6667 0.6257
Au1 Au 0.1897 0.3795 0.7317
Au2 Au 0.3333 0.6667 0.2727
```

Principal peaks in the range 10 to 80 degrees two-theta, low angle first:
2theta	I (rel.)
18.68	44
21.77	100
22.29	36
29.24	56
32.64	71
38.81	46

No. 11
# TbTlP2Se6
Theoretical powder diffraction line list, Cu Kα X-rays. Input: a cell relaxed with PBE.
Peak positions follow from Bragg's law for the DFT cell and can differ from measured ones.

Structure:
```
data_TbTlP2Se6
_cell_length_a 6.843
_cell_length_b 7.647
_cell_length_c 10.570
_cell_angle_alpha 90.00
_cell_angle_beta 91.97
_cell_angle_gamma 90.00
_space_group_name_H-M_alt 'P 1 21 1'
_space_group_IT_number 4
loop_
_space_group_symop_operation_xyz
'x,y,z'
'-x,y+1/2,-z'
loop_
_atom_site_label
_atom_site_type_symbol
_atom_site_fract_x
_atom_site_fract_y
_atom_site_fract_z
Tb1 Tb 0.215 0.000 0.002
Tl1 Tl 0.318 0.218 0.505
P1 P 0.194 0.729 0.288
P2 P 0.318 0.511 0.171
Se1 Se 0.066 0.308 0.834
Se2 Se 0.080 0.311 0.166
Se3 Se 0.157 0.634 0.478
Se4 Se 0.371 0.636 0.983
Se5 Se 0.401 0.916 0.749
Se6 Se 0.405 0.942 0.265
```

Principal peaks in the range 10 to 80 degrees two-theta, low angle first:
2theta	I (rel.)
24.76	89
28.83	100
29.58	63
30.10	90
34.63	65
36.03	66

No. 12
# ZrNb2ZnO8
Theoretical powder diffraction line list, Cu Kα X-rays. Input: a cell relaxed with PBE.
Peak positions follow from Bragg's law for the DFT cell and can differ from measured ones.

Structure:
```
data_ZrNb2ZnO8
_cell_length_a 4.882
_cell_length_b 5.844
_cell_length_c 5.129
_cell_angle_alpha 90.00
_cell_angle_beta 91.02
_cell_angle_gamma 90.00
_space_group_name_H-M_alt 'P 1 2 1'
_space_group_IT_number 3
loop_
_space_group_symop_operation_xyz
'x,y,z'
'-x,y,-z'
loop_
_atom_site_label
_atom_site_type_symbol
_atom_site_fract_x
_atom_site_fract_y
_atom_site_fract_z
Zr1 Zr 0.000 0.000 0.000
Nb1 Nb 0.500 0.486 0.000
Nb2 Nb 0.500 0.851 0.500
Zn1 Zn 0.000 0.378 0.500
O1 O 0.233 0.292 0.842
O2 O 0.242 0.055 0.338
O3 O 0.276 0.787 0.818
O4 O 0.286 0.572 0.313
```

Principal peaks in the range 10 to 80 degrees two-theta, low angle first:
2theta	I (rel.)
23.75	42
29.33	100
29.72	96
35.00	24
52.21	35
63.04	25